The following is a computed XRD peak list of MgNiW2O8. It was derived from the GGA+U geometry in the Materials Project, using a wavelength of 1.5418 Å.
Kinematic intensities with the Lorentz-polarization factor, no thermal factor.

Atomic structure:
Cell: 5.009 5.547 6.161 Å, 78.25 85.77 66.05°
Sites, in units of the cell vectors:
Mg: 0.000 0.000 0.000
Ni: 0.000 0.000 0.500
W: 0.314 0.423 0.214
W: 0.686 0.577 0.786
O: 0.025 0.732 0.297
O: 0.086 0.233 0.198
O: 0.426 0.723 0.026
O: 0.440 0.759 0.561
O: 0.560 0.241 0.439
O: 0.574 0.277 0.974
O: 0.914 0.767 0.802
O: 0.975 0.268 0.703

Principal peaks in the range 2θ = 10–80°, by intensity:
two_theta  intensity  h k l
24.5  100  1 0 1
27.1  73  1 1 -1
20.9  71  0 1 1
23.3  67  1 1 1
17.8  64  0 1 0
24.3  43  1 0 -1
31.4  40  1 -1 0
37.7  39  0 1 -2
33.4  35  1 2 0
36.0  34  2 1 0